Diffraction record for Cs2SiH4. The powder X-ray diffraction pattern is computed, not measured: it uses a GGA-PBE-relaxed structure and Cu Kα.
Neutral-atom scattering factors, no anomalous dispersion.

Crystal structure
Lattice parameters (Å, degrees): 7.1880 5.2449 9.4661 90.00 111.95 90.00
Element x y z (fractional)
1 Cs 0.2176 0.2500 0.1549
2 Cs 0.2769 0.2500 0.7407
3 Cs 0.7231 0.7500 0.2593
4 Cs 0.7824 0.7500 0.8451
5 Si 0.3228 0.7500 0.4505
6 Si 0.6772 0.2500 0.5495
7 H 0.1625 0.5360 0.4166
8 H 0.1625 0.9640 0.4166
9 H 0.2494 0.7500 0.9696
10 H 0.3628 0.7500 0.6218
11 H 0.6372 0.2500 0.3782
12 H 0.7506 0.2500 0.0304
13 H 0.8375 0.0360 0.5834
14 H 0.8375 0.4640 0.5834

Most intense lines, 5° ≤ 2θ ≤ 70°, in order of falling intensity:
h k l	2theta	d (Å)	Rel. int.
1 1 0	21.6	4.122	100
1 1 -2	26.0	3.430	78
2 0 0	26.7	3.334	39
2 2 0	44.0	2.060	32
0 1 2	26.5	3.366	27
0 2 0	34.2	2.622	25
0 0 2	20.2	4.390	24
2 1 -2	31.9	2.804	23
2 0 -2	26.9	3.319	22
1 1 2	33.1	2.709	21